Computed X-ray powder pattern of InGaNiO4 for copper Kα, from a cell relaxed with GGA+U.

Crystal structure
abc: 6.071 6.222 8.608
angles: 90.00 90.00 90.00
Space group Imma (No. 74)
Inequivalent atoms, fractional coordinates:
In 0.000 0.000 0.000 (multiplicity 4)
Ga 0.000 0.250 0.372 (multiplicity 4)
Ni 0.250 0.250 0.750 (multiplicity 4)
O 0.000 0.008 0.748 (multiplicity 8)
O 0.250 0.250 0.506 (multiplicity 8)

The 10 most intense peaks (10 to 90 degrees two-theta), low angle first:
d [Å]	Rel. int.
4.961	37
3.058	29
2.636	100
2.602	69
2.594	51
2.521	22
2.173	30
1.664	24
1.655	24
1.529	61